[1]
LaTb2CeSm2: calculated PXRD pattern (CuKα), based on a PBE-relaxed structure.

Cell and atoms:
Unit cell a=6.572 b=18.076 c=3.387 alpha=90.00 beta=90.00 gamma=90.00
Space group Pnnm (No. 58)
Asymmetric unit:
La1 0.000 0.000 0.000
Tb1 0.204 0.353 0.500
Ce1 0.000 0.500 0.000
Sm1 0.208 0.186 0.000

Peak list (8 most intense, 2θ from 15° to 90°, by angle)
(hkl), 2θ/deg, Rel. int.
2 2 0, 28.91, 88.8
0 6 0, 29.66, 100.0
0 3 1, 30.27, 93.7
1 6 0, 32.70, 37.3
2 4 0, 33.73, 55.7
1 4 1, 35.84, 44.6
2 3 1, 41.10, 58.2
3 8 1, 65.39, 38.9

=====

[2]
LaTb2CeSm6: calculated PXRD pattern (CuKα), based on a PBE-relaxed structure.

Cell and atoms:
Unit cell a=11.434 b=6.838 c=9.019 alpha=90.00 beta=104.50 gamma=90.00
Space group C2/m (No. 12)
Asymmetric unit:
La1 0.000 0.000 0.000
Tb1 0.091 0.000 0.662
Ce1 0.000 0.500 0.500
Sm1 0.131 0.500 0.917
Sm2 0.171 0.239 0.305

Peak list (8 most intense, 2θ from 15° to 90°, by angle)
(hkl), 2θ/deg, Rel. int.
1 1 2, 27.10, 54.1
0 0 3, 30.73, 76.8
2 2 -1, 31.10, 100.0
4 0 -1, 31.41, 66.7
1 1 -3, 32.54, 43.5
0 2 2, 33.28, 41.1
4 0 -2, 33.73, 67.8
2 2 4, 55.89, 48.0

=====

[3]
LaTbCeSm2: calculated PXRD pattern (CuKα), based on a PBE-relaxed structure.

Cell and atoms:
Unit cell a=3.640 b=5.639 c=8.770 alpha=90.00 beta=90.00 gamma=90.00
Space group Pmmm (No. 47)
Asymmetric unit:
La1 0.000 0.000 0.000
Tb1 0.500 0.500 0.000
Ce1 0.500 0.000 0.500
Sm1 0.000 0.500 0.319

Peak list (8 most intense, 2θ from 15° to 90°, by angle)
(hkl), 2θ/deg, Rel. int.
0 1 2, 25.74, 25.3
1 1 1, 30.97, 100.0
0 2 0, 31.74, 40.3
1 0 2, 31.96, 18.5
0 1 3, 34.56, 24.0
1 1 2, 35.80, 26.6
1 3 1, 56.06, 18.7
1 1 5, 60.89, 21.7

=====

[4]
La2CeSm3Y6: calculated PXRD pattern (CuKα), based on a PBE-relaxed structure.

Cell and atoms:
Unit cell a=6.278 b=10.877 c=11.880 alpha=90.00 beta=100.14 gamma=90.00
Space group C2/m (No. 12)
Asymmetric unit:
La1 0.000 0.166 0.000
Ce1 0.000 0.500 0.000
Sm1 0.000 0.000 0.500
Sm2 0.000 0.333 0.500
Y1 0.247 0.500 0.749
Y2 0.249 0.335 0.251

Peak list (8 most intense, 2θ from 15° to 90°, by angle)
(hkl), 2θ/deg, Rel. int.
1 3 1, 30.24, 100.0
0 0 4, 30.58, 32.4
2 0 2, 35.16, 66.6
0 6 0, 50.34, 23.8
1 3 5, 50.79, 23.1
4 0 0, 59.86, 14.0
3 3 3, 60.06, 27.8
2 0 6, 60.45, 13.6

=====

[5]
La2CeSn2: calculated PXRD pattern (CuKα), based on a PBE-relaxed structure.

Cell and atoms:
Unit cell a=8.902 b=12.410 c=6.472 alpha=90.00 beta=90.00 gamma=90.00
Space group Ibam (No. 72)
Asymmetric unit:
La1 0.140 0.143 0.000
Ce1 0.000 0.500 0.250
Sn1 0.229 0.115 0.500

Peak list (8 most intense, 2θ from 15° to 90°, by angle)
(hkl), 2θ/deg, Rel. int.
1 3 0, 23.72, 100.0
1 1 2, 30.26, 80.0
3 1 0, 30.99, 65.4
2 0 2, 34.26, 70.1
2 4 0, 35.26, 61.2
3 2 1, 36.32, 82.5
0 4 2, 40.27, 96.3
3 3 2, 47.00, 53.8

=====

[6]
LaCe3Sn3: calculated PXRD pattern (CuKα), based on a PBE-relaxed structure.

Cell and atoms:
Unit cell a=9.3783 b=9.3783 c=5.3967 alpha=90.00 beta=90.00 gamma=120.00
Space group P6_3/m (No. 176)
Asymmetric unit:
La1 0.3333 0.6667 0.2500
Ce1 0.0043 0.2333 0.2500
Sn1 0.0713 0.4514 0.7500

Peak list (8 most intense, 2θ from 15° to 90°, by angle)
(hkl), 2θ/deg, Rel. int.
2 1 0, 29.09, 22.6
0 0 2, 33.20, 25.6
2 1 1, 33.59, 100.0
2 1 2, 44.71, 15.8
1 4 0, 51.57, 14.3
2 1 3, 59.57, 19.5
1 4 2, 62.72, 15.8
4 2 1, 62.96, 8.1

=====

[7]
La3CeSn3: calculated PXRD pattern (CuKα), based on a PBE-relaxed structure.

Cell and atoms:
Unit cell a=7.734 b=13.604 c=8.577 alpha=90.00 beta=90.80 gamma=90.00
Space group C2/m (No. 12)
Asymmetric unit:
La1 0.000 0.192 0.000
La2 0.000 0.203 0.500
La3 0.193 0.500 0.556
Ce1 0.156 0.500 0.941
Sn1 0.039 0.000 0.758
Sn2 0.142 0.358 0.245

Peak list (8 most intense, 2θ from 15° to 90°, by angle)
(hkl), 2θ/deg, Rel. int.
1 3 1, 25.09, 40.0
1 3 -2, 30.83, 100.0
1 3 2, 31.05, 100.0
2 2 -2, 33.66, 92.3
2 2 2, 34.09, 40.0
1 1 3, 34.23, 32.2
3 1 0, 35.44, 69.3
0 6 0, 39.75, 32.3

=====

[8]
La2Ce4Sn3: calculated PXRD pattern (CuKα), based on a PBE-relaxed structure.

Cell and atoms:
Unit cell a=8.7276 b=8.7276 c=3.8756 alpha=90.00 beta=90.00 gamma=120.00
Space group P-62m (No. 189)
Asymmetric unit:
La1 0.3333 0.6667 0.0000
Ce1 0.0000 0.0000 0.5000
Ce2 0.0000 0.2351 0.0000
Sn1 0.0000 0.6219 0.5000

Peak list (8 most intense, 2θ from 15° to 90°, by angle)
(hkl), 2θ/deg, Rel. int.
1 1 1, 30.86, 100.0
2 1 0, 31.31, 60.6
2 0 1, 33.11, 73.7
3 0 0, 35.64, 59.3
2 1 1, 39.17, 69.5
0 0 2, 46.88, 22.8
3 2 1, 58.30, 35.7
3 0 2, 60.25, 26.2

=====

[9]
La4CeSn2: calculated PXRD pattern (CuKα), based on a PBE-relaxed structure.

Cell and atoms:
Unit cell a=8.363 b=6.698 c=9.147 alpha=90.00 beta=115.16 gamma=90.00
Space group P2_1/m (No. 11)
Asymmetric unit:
La1 0.017 0.250 0.498
La2 0.186 0.503 0.216
La3 0.342 0.250 0.906
Ce1 0.372 0.750 0.630
Sn1 0.213 0.750 0.899
Sn2 0.426 0.250 0.589

Peak list (8 most intense, 2θ from 15° to 90°, by angle)
(hkl), 2θ/deg, Rel. int.
0 2 0, 26.62, 15.2
1 0 -3, 29.33, 100.0
2 0 1, 29.84, 43.7
3 0 -1, 32.36, 15.0
3 0 -2, 32.78, 30.2
1 2 1, 32.88, 23.7
0 2 2, 34.45, 28.7
3 1 -2, 35.49, 20.9

=====

[10]
La14TbCe: calculated PXRD pattern (CuKα), based on a PBE-relaxed structure.

Cell and atoms:
Unit cell a=10.504 b=10.447 c=10.443 alpha=90.00 beta=90.00 gamma=90.00
Space group Amm2 (No. 38)
Asymmetric unit:
La1 0.000 0.000 0.000
La2 0.000 0.000 0.500
La3 0.000 0.248 0.250
La4 0.253 0.000 0.753
La5 0.255 0.247 0.000
La6 0.257 0.000 0.246
La7 0.500 0.248 0.750
Tb1 0.500 0.000 0.500
Ce1 0.500 0.000 0.000

Peak list (8 most intense, 2θ from 15° to 90°, by angle)
(hkl), 2θ/deg, Rel. int.
2 2 2, 29.57, 100.0
4 0 0, 34.15, 17.0
0 4 0, 34.34, 33.7
4 4 0, 49.21, 24.1
0 4 4, 49.35, 12.0
6 2 2, 58.33, 14.3
2 6 2, 58.59, 28.6
4 4 4, 61.38, 12.3

=====

[11]
La4Tb3Ce: calculated PXRD pattern (CuKα), based on a PBE-relaxed structure.

Cell and atoms:
Unit cell a=25.435 b=3.451 c=6.228 alpha=90.00 beta=96.68 gamma=90.00
Space group C2/m (No. 12)
Asymmetric unit:
La1 0.100 0.000 0.219
La2 0.220 0.500 0.234
Tb1 0.000 0.000 0.500
Tb2 0.141 0.000 0.735
Ce1 0.000 0.500 0.000

Peak list (8 most intense, 2θ from 15° to 90°, by angle)
(hkl), 2θ/deg, Rel. int.
1 1 0, 26.06, 49.6
8 0 0, 28.26, 51.8
2 0 -2, 28.90, 100.0
1 1 -1, 29.65, 94.8
8 0 -1, 30.24, 67.5
5 1 0, 31.39, 66.0
3 1 1, 32.11, 72.4
5 1 1, 35.54, 48.9

=====

[12]
La4TbCe3Te8: calculated PXRD pattern (CuKα), based on a PBE-relaxed structure.

Cell and atoms:
Unit cell a=9.0263 b=9.0263 c=22.2568 alpha=90.00 beta=90.00 gamma=120.00
Space group R-3m (No. 166, hexagonal axes)
Asymmetric unit:
La1 0.0000 0.0000 0.0000
La2 0.0000 0.5000 0.0000
Tb1 0.0000 0.0000 0.5000
Ce1 0.0000 0.5000 0.5000
Te1 0.0000 0.0000 0.2481
Te2 0.0044 0.5022 0.2470

Peak list (8 most intense, 2θ from 15° to 90°, by angle)
(hkl), 2θ/deg, Rel. int.
0 2 4, 27.90, 100.0
2 0 8, 39.77, 38.3
2 2 0, 39.95, 38.1
4 0 4, 49.43, 20.5
0 4 8, 57.64, 12.8
2 2 12, 65.10, 17.5
2 4 4, 65.36, 17.6
4 2 8, 72.44, 12.9